For CsCeF6, a cell relaxed with GGA-PBE gives the simulated powder XRD pattern in this record (copper Kα).

Crystal structure
Cell lengths 6.148, 6.148, 9.260 Å; angles 90.00, 90.00, 90.00 degrees
Space group P4_2/m (No. 84)
Inequivalent atoms, fractional coordinates:
1 Cs 0.000 0.000 0.000
2 Ce 0.500 0.500 0.250
3 F 0.241 0.278 0.217
4 F 0.375 0.396 0.500

Largest 8 diffraction maxima, low angle first, 2θ from 15° to 90°:
2θ (°)	I_rel	h k l
20.4	1000	1 1 0
24.1	926	1 0 2
29.0	186	2 0 0
38.1	644	2 1 2
41.5	213	2 2 0
44.3	256	1 1 4
48.6	180	3 0 2
57.6	224	3 2 2